[1]
Theoretical XRD peak list of SmZr3Sb2 for λ = 1.5418 Å (Cu Kα), from a cell relaxed with GGA-PBE.
No peak broadening, texture or thermal motion is included.

Main lines, by angle (10 to 90 degrees two-theta):
2θ/deg  d (Å)  I/Imax
29.68  3.010  46
30.43  2.938  78
31.92  2.804  51
32.93  2.720  58
33.30  2.691  100
35.26  2.546  60
35.69  2.515  44
37.01  2.429  45
38.00  2.368  67
40.60  2.222  27
44.26  2.046  58
67.22  1.393  26

Atomic structure:
a b c (Å): 9.1603 9.1603 9.0221
angles (deg): 113.80 113.80 25.82
Positions (direct):
Sm1 0.1120 0.1120 0.1263
Sm2 0.8880 0.8880 0.8737
Zr1 0.0606 0.0606 0.6594
Zr2 0.3134 0.3134 0.1058
Zr3 0.3513 0.3513 0.5187
Zr4 0.6487 0.6487 0.4813
Zr5 0.6866 0.6866 0.8942
Zr6 0.9394 0.9394 0.3406
Sb1 0.2453 0.2453 0.7220
Sb2 0.4894 0.4894 0.1732
Sb3 0.5106 0.5106 0.8268
Sb4 0.7547 0.7547 0.2780



[2]
Theoretical XRD peak list of Cs3Y2I9 for λ = 1.5418 Å (Cu Kα), from a cell relaxed with GGA-PBE.
No peak broadening, texture or thermal motion is included.

Main lines, by angle (10 to 90 degrees two-theta):
2θ/deg  d (Å)  I/Imax
23.94  3.717  13
24.57  3.623  22
26.96  3.308  100
34.57  2.595  25
42.10  2.146  24
44.74  2.025  23
49.35  1.847  18
50.71  1.800  16
63.11  1.473  8
67.68  1.384  10
67.96  1.379  13
78.80  1.215  8

Atomic structure:
a b c (Å): 11.2344 11.2344 11.2344
angles (deg): 82.87 82.87 82.87
Positions (direct):
Cs1 0.0880 0.7500 0.4120
Cs2 0.2500 0.5880 0.9120
Cs3 0.4120 0.0880 0.7500
Cs4 0.5880 0.9120 0.2500
Cs5 0.7500 0.4120 0.0880
Cs6 0.9120 0.2500 0.5880
Y1 0.1551 0.1551 0.1551
Y2 0.3449 0.3449 0.3449
Y3 0.6551 0.6551 0.6551
Y4 0.8449 0.8449 0.8449
I1 0.0814 0.9161 0.7331
I2 0.0839 0.2669 0.9186
I3 0.0907 0.4093 0.2500
I4 0.2331 0.4161 0.5814
I5 0.2500 0.0907 0.4093
I6 0.2669 0.9186 0.0839
I7 0.4093 0.2500 0.0907
I8 0.4161 0.5814 0.2331
I9 0.4186 0.7669 0.5839
I10 0.5814 0.2331 0.4161
I11 0.5839 0.4186 0.7669
I12 0.5907 0.7500 0.9093
I13 0.7331 0.0814 0.9161
I14 0.7500 0.9093 0.5907
I15 0.7669 0.5839 0.4186
I16 0.9093 0.5907 0.7500
I17 0.9161 0.7331 0.0814
I18 0.9186 0.0839 0.2669



[3]
Theoretical XRD peak list of Nd7Y2Sc2 for λ = 1.5418 Å (Cu Kα), from a cell relaxed with GGA-PBE.
No peak broadening, texture or thermal motion is included.

Main lines, by angle (10 to 90 degrees two-theta):
2θ/deg  d (Å)  I/Imax
27.14  3.286  16
27.51  3.242  17
27.68  3.223  37
28.05  3.181  17
30.02  2.977  15
31.16  2.870  100
32.13  2.786  62
32.90  2.722  42
33.14  2.703  29
33.58  2.669  55
53.36  1.717  19
59.77  1.547  19

Atomic structure:
a b c (Å): 6.8890 6.8890 8.1923
angles (deg): 97.63 97.63 104.42
Positions (direct):
Nd1 0.0000 0.0000 0.0000
Nd2 0.0800 0.5173 0.8200
Nd3 0.2024 0.2024 0.4866
Nd4 0.4827 0.9200 0.1800
Nd5 0.5173 0.0800 0.8200
Nd6 0.7976 0.7976 0.5134
Nd7 0.9200 0.4827 0.1800
Y1 0.4214 0.4214 0.1819
Y2 0.5786 0.5786 0.8181
Sc1 0.2883 0.7117 0.5000
Sc2 0.7117 0.2883 0.5000